1.
Structure and theoretical X-ray diffraction stick pattern of Al2Zn2Pb (a DFT-relaxed cell (PBE, Alexandria); Cu Kα X-rays).

Atomic structure:
abc: 4.0977 4.0977 11.8749
angles: 90.00 90.00 90.00
Element x y z (fractional)
Al  0.0000  0.5000  0.2500
Al  0.0000  0.5000  0.7500
Al  0.5000  0.0000  0.2500
Al  0.5000  0.0000  0.7500
Zn  0.0000  0.0000  0.1071
Zn  0.0000  0.0000  0.8929
Zn  0.5000  0.5000  0.3929
Zn  0.5000  0.5000  0.6071
Pb  0.0000  0.0000  0.5000
Pb  0.5000  0.5000  0.0000

Main lines, sorted by position (5° ≤ 2θ ≤ 70°):
d 5.937, intensity 62.8; d 2.898, intensity 63.4; d 2.847, intensity 100.0; d 2.604, intensity 93.5; d 2.055, intensity 66.2; d 2.049, intensity 44.5

---

2.
Structure and theoretical X-ray diffraction stick pattern of Er5Rh6 (a DFT-relaxed cell (PBE, Alexandria); Cu Kα X-rays).

Atomic structure:
abc: 8.1191 8.1191 8.1191
angles: 146.96 130.07 61.19
Element x y z (fractional)
Er  0.0000  0.0000  0.0000
Er  0.1765  0.6765  0.5000
Er  0.3584  0.3584  0.0000
Er  0.6416  0.6416  0.0000
Er  0.8235  0.3235  0.5000
Rh  0.0747  0.8321  0.2426
Rh  0.2239  0.5000  0.7239
Rh  0.4104  0.1679  0.2426
Rh  0.5896  0.8321  0.7574
Rh  0.7761  0.5000  0.2761
Rh  0.9253  0.1679  0.7574

Main lines, sorted by position (5° ≤ 2θ ≤ 70°):
d 2.369, intensity 100.0; d 2.330, intensity 20.4; d 2.309, intensity 25.0; d 1.640, intensity 13.7; d 1.353, intensity 10.5; d 1.344, intensity 16.4

---

3.
Structure and theoretical X-ray diffraction stick pattern of Pu4Ir3Pt (a DFT-relaxed cell (PBE, Alexandria); Cu Kα X-rays).

Atomic structure:
abc: 6.8938 6.8938 6.8938
angles: 90.00 90.00 90.00
Element x y z (fractional)
Pu  0.2500  0.2500  0.2500
Pu  0.2500  0.2500  0.7500
Pu  0.2500  0.7500  0.2500
Pu  0.2500  0.7500  0.7500
Pu  0.7500  0.2500  0.2500
Pu  0.7500  0.2500  0.7500
Pu  0.7500  0.7500  0.2500
Pu  0.7500  0.7500  0.7500
Ir  0.0000  0.0000  0.5000
Ir  0.0000  0.5000  0.0000
Ir  0.0000  0.5000  0.5000
Ir  0.5000  0.0000  0.0000
Ir  0.5000  0.0000  0.5000
Ir  0.5000  0.5000  0.0000
Pt  0.0000  0.0000  0.0000
Pt  0.5000  0.5000  0.5000

Main lines, sorted by position (5° ≤ 2θ ≤ 70°):
d 3.447, intensity 1.3; d 2.437, intensity 100.0; d 1.723, intensity 17.9; d 1.541, intensity 0.6; d 1.407, intensity 37.1

---

4.
Structure and theoretical X-ray diffraction stick pattern of PrGaAg2 (a DFT-relaxed cell (PBE, Alexandria); Cu Kα X-rays).

Atomic structure:
abc: 6.9750 4.6628 10.7556
angles: 90.00 90.00 90.00
Element x y z (fractional)
Pr  0.0000  0.0000  0.0000
Pr  0.0000  0.5000  0.5000
Pr  0.5000  0.0000  0.1901
Pr  0.5000  0.5000  0.6901
Ga  0.1916  0.0000  0.7235
Ga  0.1916  0.5000  0.2235
Ga  0.8084  0.0000  0.7235
Ga  0.8084  0.5000  0.2235
Ag  0.0000  0.0000  0.2889
Ag  0.0000  0.5000  0.7889
Ag  0.3000  0.0000  0.4822
Ag  0.3000  0.5000  0.9822
Ag  0.5000  0.0000  0.8881
Ag  0.5000  0.5000  0.3881
Ag  0.7000  0.0000  0.4822
Ag  0.7000  0.5000  0.9822

Main lines, sorted by position (5° ≤ 2θ ≤ 70°):
d 2.703, intensity 100.0; d 2.689, intensity 23.4; d 2.632, intensity 87.3; d 2.331, intensity 47.2; d 2.203, intensity 36.9; d 1.760, intensity 23.4

---

5.
Structure and theoretical X-ray diffraction stick pattern of SrSb3Au (a DFT-relaxed cell (PBE, Alexandria); Cu Kα X-rays).

Atomic structure:
abc: 6.5014 6.8849 6.5781
angles: 90.00 90.00 90.00
Element x y z (fractional)
Sr  0.0000  0.2490  0.0000
Sr  0.5000  0.7510  0.5000
Sb  0.0000  0.5853  0.6376
Sb  0.2401  0.2070  0.4889
Sb  0.2599  0.7930  0.9889
Sb  0.5000  0.4147  0.1376
Sb  0.7401  0.7930  0.9889
Sb  0.7599  0.2070  0.4889
Au  0.0000  0.8687  0.3380
Au  0.5000  0.1313  0.8380

Main lines, sorted by position (5° ≤ 2θ ≤ 70°):
d 3.839, intensity 47.4; d 3.049, intensity 25.5; d 2.684, intensity 100.0; d 2.233, intensity 25.6; d 2.224, intensity 27.2; d 2.165, intensity 22.7

---

6.
Structure and theoretical X-ray diffraction stick pattern of Lu4Bi2B (a DFT-relaxed cell (PBE, Alexandria); Cu Kα X-rays).

Atomic structure:
abc: 4.8506 4.8506 15.7380
angles: 90.00 90.00 90.00
Element x y z (fractional)
Lu  0.0000  0.0000  0.1556
Lu  0.0000  0.0000  0.8444
Lu  0.0000  0.5000  0.0000
Lu  0.0000  0.5000  0.5000
Lu  0.5000  0.0000  0.0000
Lu  0.5000  0.0000  0.5000
Lu  0.5000  0.5000  0.3444
Lu  0.5000  0.5000  0.6556
Bi  0.0000  0.0000  0.3561
Bi  0.0000  0.0000  0.6439
Bi  0.5000  0.5000  0.1439
Bi  0.5000  0.5000  0.8561
B  0.0000  0.0000  0.0000
B  0.5000  0.5000  0.5000

Main lines, sorted by position (5° ≤ 2θ ≤ 70°):
d 3.144, intensity 58.8; d 2.623, intensity 25.2; d 2.585, intensity 100.0; d 2.425, intensity 57.0; d 1.781, intensity 32.4; d 1.430, intensity 52.8